Tb5Si2Au2: calculated PXRD pattern (λ = 1.5418 Å (Cu Kα)), based on a structure optimized by DFT (GGA-PBE).
Neutral-atom scattering factors, no anomalous dispersion.

Main lines, most intense first (10 to 90 degrees two-theta):
two_theta  d_spacing  I/Imax
33.15  2.703  100.0
33.43  2.681  61.8
38.18  2.357  59.0
33.62  2.666  55.5
31.69  2.823  38.7
35.26  2.545  35.1
26.41  3.374  27.0
48.14  1.890  25.6
27.07  3.293  24.3
59.99  1.542  23.7

Structural model:
```
data_Tb5Si2Au2
_space_group_name_H-M_alt 'C m c e'
_space_group_IT_number 64
_space_group_name_Hall '-C 2ac 2'
_cell_length_a 15.505
_cell_length_b 7.548
_cell_length_c 7.533
_cell_angle_alpha 90.00
_cell_angle_beta 90.00
_cell_angle_gamma 90.00
loop_
_atom_site_label
_atom_site_type_symbol
_atom_site_fract_x
_atom_site_fract_y
_atom_site_fract_z
Tb1 Tb 0.000 0.000 0.000
Tb2 Tb 0.134 0.178 0.328
Si1 Si 0.000 0.118 0.620
Au1 Au 0.208 0.000 0.000
```